For K3Ti, a cell relaxed with GGA-PBE gives the theoretical XRD peak list in this record (Cu Kα (weighted mean of Kα1 and Kα2)).
Peak positions follow from Bragg's law for the DFT cell and can differ from measured ones.

Most intense lines, 2θ from 10° to 90°, in order of falling intensity:
27.9 deg, 3.201 Å, intensity 100.0; 26.2 deg, 3.398 Å, intensity 26.7; 24.5 deg, 3.629 Å, intensity 23.5; 47.3 deg, 1.922 Å, intensity 20.1; 51.2 deg, 1.783 Å, intensity 19.8; 43.2 deg, 2.095 Å, intensity 17.4; 36.2 deg, 2.480 Å, intensity 15.7; 52.2 deg, 1.753 Å, intensity 13.8; 70.0 deg, 1.345 Å, intensity 9.7; 74.6 deg, 1.272 Å, intensity 7.1

Structural model:
abc: 8.3814 8.3814 6.7952
angles: 90.00 90.00 120.00
Atoms (fractional coordinates):
K 0.1756 0.3512 0.2500
K 0.1756 0.8244 0.2500
K 0.3512 0.1756 0.7500
K 0.6488 0.8244 0.2500
K 0.8244 0.1756 0.7500
K 0.8244 0.6488 0.7500
Ti 0.3333 0.6667 0.7500
Ti 0.6667 0.3333 0.2500

For ThB2Ru2, a cell relaxed with GGA-PBE gives the theoretical XRD peak list in this record (Cu Kα (weighted mean of Kα1 and Kα2)).
Peak positions follow from Bragg's law for the DFT cell and can differ from measured ones.

Most intense lines, 2θ from 10° to 90°, in order of falling intensity:
31.3 deg, 2.854 Å, intensity 100.0; 33.8 deg, 2.651 Å, intensity 99.7; 42.4 deg, 2.132 Å, intensity 48.8; 26.3 deg, 3.383 Å, intensity 32.5; 39.7 deg, 2.268 Å, intensity 31.5; 50.9 deg, 1.796 Å, intensity 26.1; 32.6 deg, 2.748 Å, intensity 25.7; 56.3 deg, 1.633 Å, intensity 25.1; 48.0 deg, 1.897 Å, intensity 18.4; 59.0 deg, 1.567 Å, intensity 18.4

Structural model:
abc: 6.8096 6.0393 5.5895
angles: 71.57 57.29 51.14
Atoms (fractional coordinates):
Th 0.1250 0.1250 0.1250
Th 0.8750 0.8750 0.8750
B 0.1925 0.5575 0.1925
B 0.4425 0.8075 0.4425
B 0.5575 0.1925 0.5575
B 0.8075 0.4425 0.8075
Ru 0.2382 0.2382 0.5118
Ru 0.4882 0.4882 0.7618
Ru 0.5118 0.5118 0.2382
Ru 0.7618 0.7618 0.4882

For HfBeIr2, a cell relaxed with GGA-PBE gives the theoretical XRD peak list in this record (Cu Kα (weighted mean of Kα1 and Kα2)).
Peak positions follow from Bragg's law for the DFT cell and can differ from measured ones.

Most intense lines, 2θ from 10° to 90°, in order of falling intensity:
41.3 deg, 2.184 Å, intensity 100.0; 75.4 deg, 1.261 Å, intensity 34.9; 25.0 deg, 3.566 Å, intensity 22.7; 59.9 deg, 1.544 Å, intensity 17.0; 28.9 deg, 3.088 Å, intensity 15.8; 89.8 deg, 1.092 Å, intensity 11.8; 48.9 deg, 1.862 Å, intensity 11.4; 67.9 deg, 1.381 Å, intensity 5.8; 65.9 deg, 1.417 Å, intensity 4.7; 51.2 deg, 1.783 Å, intensity 4.5

Structural model:
abc: 4.3670 4.3670 4.3670
angles: 60.00 60.00 60.00
Atoms (fractional coordinates):
Hf 0.0000 0.0000 0.0000
Be 0.5000 0.5000 0.5000
Ir 0.2500 0.2500 0.2500
Ir 0.7500 0.7500 0.7500

For U2Tc, a cell relaxed with GGA-PBE gives the theoretical XRD peak list in this record (Cu Kα (weighted mean of Kα1 and Kα2)).
Peak positions follow from Bragg's law for the DFT cell and can differ from measured ones.

Most intense lines, 2θ from 10° to 90°, in order of falling intensity:
39.1 deg, 2.303 Å, intensity 100.0; 35.7 deg, 2.515 Å, intensity 31.5; 36.6 deg, 2.457 Å, intensity 30.2; 66.4 deg, 1.408 Å, intensity 21.0; 67.5 deg, 1.387 Å, intensity 20.9; 52.0 deg, 1.759 Å, intensity 11.7; 52.1 deg, 1.756 Å, intensity 10.9; 72.5 deg, 1.303 Å, intensity 8.5; 73.1 deg, 1.295 Å, intensity 8.5; 18.1 deg, 4.914 Å, intensity 8.2

Structural model:
abc: 7.6979 7.6979 4.9143
angles: 90.07 90.07 22.83
Atoms (fractional coordinates):
U 0.0000 0.0000 0.0000
U 0.1686 0.1686 0.4998
U 0.5000 0.5000 0.5000
U 0.8314 0.8314 0.5002
Tc 0.3244 0.3244 0.0003
Tc 0.6756 0.6756 0.9997

For UGa, a cell relaxed with GGA-PBE gives the theoretical XRD peak list in this record (Cu Kα (weighted mean of Kα1 and Kα2)).
Peak positions follow from Bragg's law for the DFT cell and can differ from measured ones.

Most intense lines, 2θ from 10° to 90°, in order of falling intensity:
33.2 deg, 2.702 Å, intensity 100.0; 37.9 deg, 2.374 Å, intensity 84.6; 18.3 deg, 4.845 Å, intensity 72.4; 47.4 deg, 1.919 Å, intensity 63.5; 32.9 deg, 2.723 Å, intensity 61.7; 33.1 deg, 2.710 Å, intensity 60.6; 40.8 deg, 2.214 Å, intensity 58.5; 37.0 deg, 2.427 Å, intensity 48.3; 47.5 deg, 1.913 Å, intensity 42.4; 57.0 deg, 1.616 Å, intensity 42.1

Structural model:
abc: 6.0447 6.0447 10.8929
angles: 90.00 90.00 53.28
Atoms (fractional coordinates):
U 0.0000 0.0000 0.0000
U 0.0000 0.0000 0.5000
U 0.0140 0.9860 0.7500
U 0.2352 0.2352 0.0000
U 0.2352 0.2352 0.5000
U 0.7648 0.7648 0.0000
U 0.7648 0.7648 0.5000
U 0.9860 0.0140 0.2500
Ga 0.0211 0.4971 0.2500
Ga 0.4924 0.5076 0.1266
Ga 0.4924 0.5076 0.3734
Ga 0.4971 0.0211 0.7500
Ga 0.5029 0.9789 0.2500
Ga 0.5076 0.4924 0.6266
Ga 0.5076 0.4924 0.8734
Ga 0.9789 0.5029 0.7500

For Eu2Al3Ag, a cell relaxed with GGA-PBE gives the theoretical XRD peak list in this record (Cu Kα (weighted mean of Kα1 and Kα2)).
Peak positions follow from Bragg's law for the DFT cell and can differ from measured ones.

Most intense lines, 2θ from 10° to 90°, in order of falling intensity:
36.9 deg, 2.436 Å, intensity 100.0; 31.2 deg, 2.868 Å, intensity 98.2; 37.2 deg, 2.419 Å, intensity 53.4; 19.2 deg, 4.616 Å, intensity 39.0; 31.5 deg, 2.840 Å, intensity 30.1; 59.5 deg, 1.554 Å, intensity 26.4; 59.3 deg, 1.558 Å, intensity 24.5; 65.0 deg, 1.434 Å, intensity 18.9; 55.5 deg, 1.656 Å, intensity 18.9; 65.8 deg, 1.420 Å, intensity 18.2

Structural model:
abc: 5.6809 5.6809 5.6809
angles: 60.64 60.64 60.64
Atoms (fractional coordinates):
Eu 0.1236 0.1236 0.1236
Eu 0.8764 0.8764 0.8764
Al 0.0000 0.5000 0.5000
Al 0.5000 0.0000 0.5000
Al 0.5000 0.5000 0.0000
Ag 0.5000 0.5000 0.5000